Record 1
Sc2NiAg: computed X-ray powder pattern (λ = 1.5418 Å (Cu Kα)), based on the GGA-PBE geometry in OQMD.
Intensities are scaled so that the largest is 100.

Main lines, by angle (2θ = 10–90°):
23.78°, d 3.742, I = 17.3, hkl 1 1 1; 27.52°, d 3.241, I = 4.1, hkl 2 0 0; 39.32°, d 2.291, I = 100.0, hkl 2 2 0; 46.47°, d 1.954, I = 8.9, hkl 3 1 1; 56.82°, d 1.620, I = 15.8, hkl 4 0 0; 62.46°, d 1.487, I = 3.6, hkl 3 3 1; 71.28°, d 1.323, I = 30.5, hkl 4 2 2; 76.35°, d 1.247, I = 2.7, hkl 5 1 1; 84.58°, d 1.146, I = 9.5, hkl 4 4 0; 89.45°, d 1.096, I = 2.9, hkl 5 3 1

Structure:
```
data_Sc2NiAg
_chemical_formula_sum 'Sc8 Ni4 Ag4'
_cell_length_a 6.481
_cell_length_b 6.481
_cell_length_c 6.481
_cell_angle_alpha 90.00
_cell_angle_beta 90.00
_cell_angle_gamma 90.00
_symmetry_space_group_name_H-M 'F -4 3 m'
_symmetry_Int_Tables_number 216
_symmetry_space_group_name_Hall 'F -4 2 3'
loop_
_atom_site_label
_atom_site_fract_x
_atom_site_fract_y
_atom_site_fract_z
_atom_site_occupancy
Sc1 0.000 0.000 0.000 1
Sc2 0.250 0.250 0.250 1
Ni1 0.000 0.000 0.500 1
Ag1 0.250 0.250 0.750 1
```

Record 2
Dy4ErTm2Co2Te2: computed X-ray powder pattern (λ = 1.5418 Å (Cu Kα)), based on the GGA-PBE geometry in OQMD.
Intensities are scaled so that the largest is 100.

Main lines, by angle (2θ = 10–90°):
28.99°, d 3.080, I = 24.1, hkl 1 3 0; 30.17°, d 2.962, I = 23.4, hkl 0 5 1; 30.59°, d 2.922, I = 52.2, hkl 1 1 2; 33.20°, d 2.698, I = 83.6, hkl 0 3 3; 34.19°, d 2.623, I = 100.0, hkl 1 4 1; 34.51°, d 2.599, I = 26.8, hkl 0 6 0; 34.75°, d 2.582, I = 52.8, hkl 1 3 2; 36.92°, d 2.434, I = 24.2, hkl 1 0 3; 47.57°, d 1.912, I = 29.8, hkl 2 0 0; 59.24°, d 1.560, I = 32.0, hkl 2 3 3

Structure:
```
data_Dy4ErTm2Co2Te2
_chemical_formula_sum 'Dy8 Er2 Tm4 Co4 Te4'
_cell_length_a 3.823
_cell_length_b 15.595
_cell_length_c 9.472
_cell_angle_alpha 90.00
_cell_angle_beta 90.00
_cell_angle_gamma 90.00
_symmetry_space_group_name_H-M 'I m m 2'
_symmetry_Int_Tables_number 44
_symmetry_space_group_name_Hall 'I 2 -2'
loop_
_atom_site_label
_atom_site_fract_x
_atom_site_fract_y
_atom_site_fract_z
_atom_site_occupancy
Dy1 0.000 0.134 0.000 1
Dy2 0.000 0.352 0.147 1
Er1 0.000 0.000 0.418 1
Tm1 0.000 0.315 0.795 1
Co1 0.000 0.237 0.488 1
Te1 0.000 0.000 0.754 1
Te2 0.000 0.500 0.655 1
```

Record 3
TlAg3OsS4: computed X-ray powder pattern (λ = 1.5418 Å (Cu Kα)), based on the GGA-PBE geometry in OQMD.
Intensities are scaled so that the largest is 100.

Main lines, by angle (2θ = 10–90°):
20.14°, d 4.409, I = 70.0, hkl 1 1 0; 24.73°, d 3.600, I = 52.1, hkl 1 1 1; 28.63°, d 3.117, I = 70.0, hkl 2 0 0; 35.26°, d 2.545, I = 33.0, hkl 2 1 1; 40.94°, d 2.204, I = 100.0, hkl 2 2 0; 48.42°, d 1.880, I = 23.7, hkl 3 1 1; 50.72°, d 1.800, I = 21.2, hkl 2 2 2; 55.11°, d 1.666, I = 22.3, hkl 3 2 1; 67.14°, d 1.394, I = 29.2, hkl 4 2 0; 74.56°, d 1.273, I = 29.9, hkl 4 2 2

Structure:
```
data_TlAg3OsS4
_chemical_formula_sum 'Tl1 Ag3 Os1 S4'
_cell_length_a 6.235
_cell_length_b 6.235
_cell_length_c 6.235
_cell_angle_alpha 90.00
_cell_angle_beta 90.00
_cell_angle_gamma 90.00
_symmetry_space_group_name_H-M 'P -4 3 m'
_symmetry_Int_Tables_number 215
_symmetry_space_group_name_Hall 'P -4 2 3'
loop_
_atom_site_label
_atom_site_fract_x
_atom_site_fract_y
_atom_site_fract_z
_atom_site_occupancy
Tl1 0.000 0.000 0.000 1
Ag1 0.000 0.500 0.500 1
Os1 0.500 0.500 0.500 1
S1 0.288 0.288 0.288 1
```

Record 4
TaNbSe4: computed X-ray powder pattern (λ = 1.5418 Å (Cu Kα)), based on the GGA-PBE geometry in OQMD.
Intensities are scaled so that the largest is 100.

Main lines, by angle (2θ = 10–90°):
30.04°, d 2.974, I = 65.7, hkl 1 1 1; 30.87°, d 2.897, I = 21.1, hkl 0 2 2; 32.38°, d 2.765, I = 46.8, hkl 1 3 1; 34.24°, d 2.619, I = 37.6, hkl 0 4 2; 36.65°, d 2.452, I = 100.0, hkl 1 5 1; 39.29°, d 2.293, I = 52.8, hkl 0 6 2; 42.35°, d 2.134, I = 79.3, hkl 1 7 1; 45.57°, d 1.991, I = 23.9, hkl 0 8 2; 49.11°, d 1.855, I = 21.3, hkl 1 9 1; 52.88°, d 1.731, I = 51.1, hkl 1 1 3

Structure:
```
data_TaNbSe4
_chemical_formula_sum 'Ta2 Nb2 Se8'
_cell_length_a 3.466
_cell_length_b 21.225
_cell_length_c 6.022
_cell_angle_alpha 90.00
_cell_angle_beta 90.00
_cell_angle_gamma 90.00
_symmetry_space_group_name_H-M 'C m m 2'
_symmetry_Int_Tables_number 35
_symmetry_space_group_name_Hall 'C 2 -2'
loop_
_atom_site_label
_atom_site_fract_x
_atom_site_fract_y
_atom_site_fract_z
_atom_site_occupancy
Ta1 0.000 0.000 0.000 1
Nb1 0.000 0.500 0.486 1
Se1 0.000 0.080 0.325 1
Se2 0.000 0.422 0.826 1
```

Record 5
Cs2ZnAs2: computed X-ray powder pattern (λ = 1.5418 Å (Cu Kα)), based on the GGA-PBE geometry in OQMD.
Intensities are scaled so that the largest is 100.

Main lines, by angle (2θ = 10–90°):
21.73°, d 4.090, I = 47.2, hkl 1 3 0; 24.41°, d 3.647, I = 35.2, hkl 0 4 0; 26.45°, d 3.370, I = 55.3, hkl 0 0 2; 27.73°, d 3.217, I = 100.0, hkl 2 1 1; 30.27°, d 2.953, I = 68.9, hkl 1 4 1; 32.81°, d 2.729, I = 44.2, hkl 2 3 1; 35.69°, d 2.516, I = 37.4, hkl 2 0 2; 36.29°, d 2.475, I = 61.6, hkl 0 4 2; 48.85°, d 1.864, I = 29.0, hkl 3 3 2; 53.44°, d 1.714, I = 31.2, hkl 1 8 1

Structure:
```
data_Cs2ZnAs2
_chemical_formula_sum 'Cs8 Zn4 As8'
_cell_length_a 7.563
_cell_length_b 14.588
_cell_length_c 6.740
_cell_angle_alpha 90.00
_cell_angle_beta 90.00
_cell_angle_gamma 90.00
_symmetry_space_group_name_H-M 'I b a m'
_symmetry_Int_Tables_number 72
_symmetry_space_group_name_Hall '-I 2 2c'
loop_
_atom_site_label
_atom_site_fract_x
_atom_site_fract_y
_atom_site_fract_z
_atom_site_occupancy
Cs1 0.172 0.148 0.000 1
Zn1 0.000 0.500 0.250 1
As1 0.169 0.409 0.000 1
```

Record 6
Ta2PbN: computed X-ray powder pattern (λ = 1.5418 Å (Cu Kα)), based on the GGA-PBE geometry in OQMD.
Intensities are scaled so that the largest is 100.

Main lines, by angle (2θ = 10–90°):
31.14°, d 2.872, I = 23.7, hkl 0 2 0; 36.93°, d 2.434, I = 100.0, hkl 3 1 2; 39.31°, d 2.292, I = 17.4, hkl 0 0 6; 50.98°, d 1.791, I = 14.2, hkl 0 2 6; 55.40°, d 1.658, I = 22.1, hkl 6 0 -2; 64.93°, d 1.436, I = 3.1, hkl 6 2 -2; 68.46°, d 1.371, I = 16.9, hkl 0 4 3; 69.71°, d 1.349, I = 15.0, hkl 3 1 8; 70.03°, d 1.344, I = 19.9, hkl 6 0 4; 78.61°, d 1.217, I = 4.0, hkl 6 2 4

Structure:
```
data_Ta2PbN
_chemical_formula_sum 'Ta24 Pb12 N12'
_cell_length_a 9.946
_cell_length_b 5.748
_cell_length_c 14.148
_cell_angle_alpha 90.00
_cell_angle_beta 103.60
_cell_angle_gamma 90.00
_symmetry_space_group_name_H-M 'C 1 2/c 1'
_symmetry_Int_Tables_number 15
_symmetry_space_group_name_Hall '-C 2yc'
loop_
_atom_site_label
_atom_site_fract_x
_atom_site_fract_y
_atom_site_fract_z
_atom_site_occupancy
Ta1 0.057 0.083 0.423 1
Ta2 0.109 0.416 0.577 1
Ta3 0.224 0.417 0.923 1
Pb1 0.000 0.417 0.250 1
Pb2 0.167 0.083 0.750 1
N1 0.084 0.250 0.000 1
N2 0.250 0.250 0.500 1
```

Record 7
Tl2ReO5: computed X-ray powder pattern (λ = 1.5418 Å (Cu Kα)), based on the GGA-PBE geometry in OQMD.
Intensities are scaled so that the largest is 100.

Main lines, by angle (2θ = 10–90°):
27.54°, d 3.238, I = 100.0, hkl 1 2 1; 32.54°, d 2.751, I = 40.6, hkl 3 1 0; 33.98°, d 2.639, I = 24.3, hkl 1 1 2; 37.07°, d 2.425, I = 12.6, hkl 2 0 2; 46.69°, d 1.945, I = 17.0, hkl 2 4 0; 52.45°, d 1.745, I = 16.1, hkl 4 0 2; 52.56°, d 1.741, I = 15.9, hkl 2 1 3; 54.69°, d 1.678, I = 13.0, hkl 3 3 2; 55.07°, d 1.668, I = 14.2, hkl 4 3 1; 87.51°, d 1.115, I = 10.5, hkl 6 4 2

Structure:
```
data_Tl2ReO5
_chemical_formula_sum 'Tl8 Re4 O20'
_cell_length_a 8.700
_cell_length_b 8.700
_cell_length_c 5.842
_cell_angle_alpha 90.00
_cell_angle_beta 90.00
_cell_angle_gamma 90.00
_symmetry_space_group_name_H-M 'I 4/m'
_symmetry_Int_Tables_number 87
_symmetry_space_group_name_Hall '-I 4'
loop_
_atom_site_label
_atom_site_fract_x
_atom_site_fract_y
_atom_site_fract_z
_atom_site_occupancy
Tl1 0.122 0.665 0.000 1
Re1 0.000 0.000 0.303 1
O1 0.000 0.500 0.250 1
O2 0.105 0.186 0.237 1
```

Record 8
HfS4Cl4F2: computed X-ray powder pattern (λ = 1.5418 Å (Cu Kα)), based on the GGA-PBE geometry in OQMD.
Intensities are scaled so that the largest is 100.

Main lines, by angle (2θ = 10–90°):
13.82°, d 6.407, I = 45.8, hkl 0 0 1; 15.56°, d 5.694, I = 59.2, hkl 1 -1 0; 16.77°, d 5.288, I = 75.4, hkl 0 1 0; 17.95°, d 4.943, I = 100.0, hkl 1 0 -1; 18.05°, d 4.915, I = 87.3, hkl 1 -1 1; 23.40°, d 3.801, I = 60.1, hkl -1 1 1; 24.71°, d 3.603, I = 65.5, hkl 0 1 -2; 25.89°, d 3.441, I = 46.0, hkl 1 1 -1; 28.56°, d 3.126, I = 42.6, hkl 1 1 0; 37.71°, d 2.385, I = 65.1, hkl -2 2 1

Structure:
```
data_HfS4Cl4F2
_chemical_formula_sum 'Hf1 S4 Cl4 F2'
_cell_length_a 6.757
_cell_length_b 6.886
_cell_length_c 7.284
_cell_angle_alpha 114.35
_cell_angle_beta 90.32
_cell_angle_gamma 119.21
_symmetry_space_group_name_H-M 'P -1'
_symmetry_Int_Tables_number 2
_symmetry_space_group_name_Hall '-P 1'
loop_
_atom_site_label
_atom_site_fract_x
_atom_site_fract_y
_atom_site_fract_z
_atom_site_occupancy
Hf1 0.000 0.000 0.000 1
S1 0.331 0.781 0.309 1
S2 0.389 0.132 0.502 1
Cl1 0.144 0.748 0.779 1
Cl2 0.413 0.369 0.169 1
F1 0.028 0.893 0.210 1
```

Record 9
DyScSn2Au2: computed X-ray powder pattern (λ = 1.5418 Å (Cu Kα)), based on the GGA-PBE geometry in OQMD.
Intensities are scaled so that the largest is 100.

Main lines, by angle (2θ = 10–90°):
24.54°, d 3.628, I = 18.8, hkl 0 0 2; 25.32°, d 3.518, I = 51.1, hkl 0 1 1; 33.26°, d 2.694, I = 87.6, hkl 1 0 2; 38.78°, d 2.322, I = 100.0, hkl 1 1 0; 43.67°, d 2.073, I = 43.2, hkl 0 1 3; 46.43°, d 1.956, I = 21.7, hkl 1 1 2; 51.99°, d 1.759, I = 24.9, hkl 0 2 2; 66.71°, d 1.402, I = 23.6, hkl 2 1 2; 70.21°, d 1.341, I = 17.9, hkl 3 0 0; 73.59°, d 1.287, I = 19.2, hkl 1 2 3

Structure:
```
data_DyScSn2Au2
_chemical_formula_sum 'Dy1 Sc1 Sn2 Au2'
_cell_length_a 4.6441
_cell_length_b 4.6441
_cell_length_c 7.2563
_cell_angle_alpha 90.00
_cell_angle_beta 90.00
_cell_angle_gamma 120.00
_symmetry_space_group_name_H-M 'P 3 m 1'
_symmetry_Int_Tables_number 156
_symmetry_space_group_name_Hall 'P 3 -2"'
loop_
_atom_site_label
_atom_site_fract_x
_atom_site_fract_y
_atom_site_fract_z
_atom_site_occupancy
Dy1 0.0000 0.0000 0.0000 1
Sc1 0.0000 0.0000 0.4985 1
Sn1 0.3333 0.6667 0.7180 1
Sn2 0.6667 0.3333 0.2304 1
Au1 0.3333 0.6667 0.3304 1
Au2 0.6667 0.3333 0.8176 1
```

Record 10
AgIr3Pd: computed X-ray powder pattern (λ = 1.5418 Å (Cu Kα)), based on the GGA-PBE geometry in OQMD.
Intensities are scaled so that the largest is 100.

Main lines, by angle (2θ = 10–90°):
28.22°, d 3.162, I = 71.8, hkl 2 0 0; 32.92°, d 2.720, I = 100.0, hkl 2 1 1; 33.58°, d 2.669, I = 30.6, hkl 2 0 2; 36.10°, d 2.488, I = 79.6, hkl 0 0 4; 40.34°, d 2.236, I = 32.0, hkl 2 2 0; 41.98°, d 2.152, I = 51.8, hkl 2 1 3; 45.35°, d 2.000, I = 40.8, hkl 3 1 0; 46.44°, d 1.955, I = 36.4, hkl 2 0 4; 59.28°, d 1.559, I = 37.5, hkl 3 1 4; 61.55°, d 1.507, I = 35.4, hkl 4 0 2

Structure:
```
data_AgIr3Pd
_chemical_formula_sum 'Ag4 Ir12 Pd4'
_cell_length_a 6.324
_cell_length_b 6.324
_cell_length_c 9.953
_cell_angle_alpha 90.00
_cell_angle_beta 90.00
_cell_angle_gamma 90.00
_symmetry_space_group_name_H-M 'I 4/m c m'
_symmetry_Int_Tables_number 140
_symmetry_space_group_name_Hall '-I 4 2c'
loop_
_atom_site_label
_atom_site_fract_x
_atom_site_fract_y
_atom_site_fract_z
_atom_site_occupancy
Ag1 0.000 0.500 0.250 1
Ir1 0.000 0.000 0.250 1
Ir2 0.131 0.369 0.000 1
Pd1 0.000 0.000 0.000 1
```

Record 11
TbTm2In3Fe2Cu: computed X-ray powder pattern (λ = 1.5418 Å (Cu Kα)), based on the GGA-PBE geometry in OQMD.
Intensities are scaled so that the largest is 100.

Main lines, by angle (2θ = 10–90°):
33.39°, d 2.683, I = 100.0, hkl 1 3 1; 36.29°, d 2.476, I = 70.3, hkl 1 2 2; 37.04°, d 2.427, I = 31.9, hkl 0 5 1; 37.14°, d 2.421, I = 15.6, hkl 0 1 3; 42.30°, d 2.137, I = 15.0, hkl 0 3 3; 46.66°, d 1.947, I = 20.1, hkl 2 0 0; 56.86°, d 1.619, I = 14.9, hkl 1 7 1; 61.04°, d 1.518, I = 21.7, hkl 2 5 1; 64.76°, d 1.439, I = 12.2, hkl 2 6 0; 68.05°, d 1.378, I = 15.9, hkl 1 7 3

Structure:
```
data_TbTm2In3Fe2Cu
_chemical_formula_sum 'Tb2 Tm4 In6 Fe4 Cu2'
_cell_length_a 3.893
_cell_length_b 12.854
_cell_length_c 7.394
_cell_angle_alpha 90.00
_cell_angle_beta 90.00
_cell_angle_gamma 90.00
_symmetry_space_group_name_H-M 'A m m 2'
_symmetry_Int_Tables_number 38
_symmetry_space_group_name_Hall 'A 2 -2'
loop_
_atom_site_label
_atom_site_fract_x
_atom_site_fract_y
_atom_site_fract_z
_atom_site_occupancy
Tb1 0.000 0.000 0.000 1
Tm1 0.000 0.205 0.616 1
In1 0.500 0.000 0.669 1
In2 0.500 0.130 0.283 1
Fe1 0.500 0.168 0.911 1
Cu1 0.000 0.000 0.412 1
```

Record 12
Ta2PdO6: computed X-ray powder pattern (λ = 1.5418 Å (Cu Kα)), based on the GGA-PBE geometry in OQMD.
Intensities are scaled so that the largest is 100.

Main lines, by angle (2θ = 10–90°):
20.78°, d 4.275, I = 100.0, hkl 2 0 -1; 21.33°, d 4.165, I = 25.2, hkl 2 0 0; 22.93°, d 3.879, I = 16.1, hkl 0 0 2; 34.69°, d 2.586, I = 24.6, hkl 0 0 3; 35.73°, d 2.513, I = 65.7, hkl 1 1 1; 36.29°, d 2.475, I = 26.3, hkl 2 0 2; 38.06°, d 2.365, I = 39.4, hkl 1 1 -2; 45.08°, d 2.011, I = 32.6, hkl 3 1 0; 58.03°, d 1.589, I = 15.6, hkl 3 1 -4; 61.27°, d 1.513, I = 15.5, hkl 1 1 4

Structure:
```
data_Ta2PdO6
_chemical_formula_sum 'Ta4 Pd2 O12'
_cell_length_a 8.779
_cell_length_b 2.917
_cell_length_c 8.176
_cell_angle_alpha 90.00
_cell_angle_beta 108.40
_cell_angle_gamma 90.00
_symmetry_space_group_name_H-M 'C 1 2/m 1'
_symmetry_Int_Tables_number 12
_symmetry_space_group_name_Hall '-C 2y'
loop_
_atom_site_label
_atom_site_fract_x
_atom_site_fract_y
_atom_site_fract_z
_atom_site_occupancy
Ta1 0.204 0.000 0.305 1
Pd1 0.000 0.500 0.000 1
O1 0.022 0.500 0.259 1
O2 0.159 0.000 0.544 1
O3 0.236 0.500 0.141 1
```

Record 13
BaNdAu2: computed X-ray powder pattern (λ = 1.5418 Å (Cu Kα)), based on the GGA-PBE geometry in OQMD.
Intensities are scaled so that the largest is 100.

Main lines, by angle (2θ = 10–90°):
18.51°, d 4.794, I = 29.2, hkl 0 1 1; 29.38°, d 3.040, I = 54.9, hkl 1 0 2; 31.41°, d 2.848, I = 34.6, hkl 0 2 1; 32.88°, d 2.724, I = 100.0, hkl 1 1 2; 36.17°, d 2.483, I = 47.4, hkl 2 0 0; 36.36°, d 2.471, I = 89.5, hkl 1 2 1; 48.65°, d 1.872, I = 20.5, hkl 2 2 1; 49.69°, d 1.835, I = 24.3, hkl 0 1 4; 60.91°, d 1.521, I = 19.6, hkl 3 0 2; 62.99°, d 1.476, I = 35.6, hkl 2 1 4

Structure:
```
data_BaNdAu2
_chemical_formula_sum 'Ba2 Nd2 Au4'
_cell_length_a 4.966
_cell_length_b 6.132
_cell_length_c 7.690
_cell_angle_alpha 90.00
_cell_angle_beta 90.00
_cell_angle_gamma 90.00
_symmetry_space_group_name_H-M 'P m c 21'
_symmetry_Int_Tables_number 26
_symmetry_space_group_name_Hall 'P 2c -2'
loop_
_atom_site_label
_atom_site_fract_x
_atom_site_fract_y
_atom_site_fract_z
_atom_site_occupancy
Ba1 0.000 0.101 0.000 1
Nd1 0.500 0.398 0.372 1
Au1 0.000 0.413 0.642 1
Au2 0.500 0.119 0.722 1
```

Record 14
HoAuSO: computed X-ray powder pattern (λ = 1.5418 Å (Cu Kα)), based on the GGA-PBE geometry in OQMD.
Intensities are scaled so that the largest is 100.

Main lines, by angle (2θ = 10–90°):
19.54°, d 4.544, I = 73.6, hkl 2 0 0; 29.49°, d 3.029, I = 50.5, hkl 3 0 0; 30.02°, d 2.977, I = 86.1, hkl 2 1 1; 32.08°, d 2.790, I = 83.7, hkl 0 0 2; 33.68°, d 2.661, I = 100.0, hkl 1 2 0; 37.89°, d 2.374, I = 61.2, hkl 2 2 0; 44.14°, d 2.052, I = 48.6, hkl 3 0 2; 47.21°, d 1.925, I = 86.3, hkl 1 2 2; 51.96°, d 1.760, I = 38.7, hkl 4 2 0; 62.39°, d 1.488, I = 37.7, hkl 4 2 2

Structure:
```
data_HoAuSO
_chemical_formula_sum 'Ho4 Au4 S4 O4'
_cell_length_a 9.088
_cell_length_b 5.564
_cell_length_c 5.580
_cell_angle_alpha 90.00
_cell_angle_beta 90.00
_cell_angle_gamma 90.00
_symmetry_space_group_name_H-M 'A e m 2'
_symmetry_Int_Tables_number 39
_symmetry_space_group_name_Hall 'A 2 -2b'
loop_
_atom_site_label
_atom_site_fract_x
_atom_site_fract_y
_atom_site_fract_z
_atom_site_occupancy
Ho1 0.119 0.250 0.000 1
Au1 0.500 0.000 0.001 1
S1 0.282 0.250 0.501 1
O1 0.000 0.000 0.250 1
```